Record 1
Simulated powder X-ray diffraction pattern
Compound: Tb6CeEr3
Radiation: a wavelength of 1.5418 Å
Structure: DFT lattice parameters and positions (GGA-PBE)
Lines closer than 0.1° are merged.

The 10 most intense peaks (5 to 70 degrees two-theta), by angle:
- 2θ 30.9, intensity 100
- 2θ 35.8, intensity 34
- 2θ 35.9, intensity 17
- 2θ 51.6, intensity 24
- 2θ 51.7, intensity 12
- 2θ 61.3, intensity 11
- 2θ 61.4, intensity 25
- 2θ 61.5, intensity 7
- 2θ 64.4, intensity 3
- 2θ 64.5, intensity 6

Cell and atoms:
```
Tb6CeEr3
1.0
6.135 0.000 0.000
2.019 6.776 0.000
2.046 1.242 7.554
Tb Ce Er
6 1 3
Cartesian
2.035 3.097 2.277
3.063 6.456 2.259
5.096 5.852 6.773
5.105 2.166 0.781
7.137 1.562 5.295
8.165 4.921 5.277
5.100 4.009 3.777
4.096 2.476 6.780
4.091 0.621 3.777
6.105 5.542 0.774
```

---

Record 2
Simulated powder X-ray diffraction pattern
Compound: Er6Pt23
Radiation: a wavelength of 1.5418 Å
Structure: DFT lattice parameters and positions (GGA-PBE)
Lines closer than 0.1° are merged.

The 10 most intense peaks (5 to 70 degrees two-theta), by angle:
- 2θ 11.9, intensity 11
- 2θ 13.8, intensity 9
- 2θ 34.2, intensity 10
- 2θ 36.3, intensity 32
- 2θ 39.7, intensity 100
- 2θ 41.6, intensity 20
- 2θ 44.6, intensity 10
- 2θ 57.3, intensity 8
- 2θ 66.2, intensity 10
- 2θ 69.8, intensity 9

Cell and atoms:
```
Er6Pt23
1.0
0.000 6.428 6.428
6.428 0.000 6.428
6.428 6.428 0.000
Er Pt
6 23
Cartesian
6.428 6.428 2.833
6.428 2.833 6.428
10.022 6.428 6.428
2.833 6.428 6.428
6.428 10.022 6.428
6.428 6.428 10.022
3.214 3.214 0.000
3.214 0.000 3.214
6.428 3.214 3.214
7.980 4.875 4.875
2.124 2.124 2.124
4.304 4.304 2.124
4.304 2.124 4.304
4.875 4.875 4.875
7.980 7.980 4.875
7.980 4.875 7.980
10.732 8.551 8.551
0.000 3.214 3.214
3.214 6.428 3.214
3.214 3.214 6.428
6.428 6.428 6.428
2.124 4.304 4.304
4.875 7.980 4.875
4.875 4.875 7.980
7.980 7.980 7.980
8.551 10.732 8.551
8.551 8.551 10.732
10.732 10.732 10.732
4.875 7.980 7.980
```